Calculated XRD peak list of B2C3 for Cu Ka, from DFT lattice parameters and positions (PBE).
Neutral-atom scattering factors, no anomalous dispersion.

Largest 6 diffraction maxima, by angle, 5° ≤ 2θ ≤ 70°:
2θ = 21.03°, intensity 107, (1 1 0)
2θ = 28.47°, intensity 28, (1 0 1)
2θ = 29.91°, intensity 15, (2 0 0)
2θ = 41.76°, intensity 1000, (2 1 1)
2θ = 52.21°, intensity 7, (3 0 1)
2θ = 61.35°, intensity 14, (3 2 1)

Structure:
```
data_B2C3
_chemical_formula_sum 'B8 C12'
_cell_length_a 5.975
_cell_length_b 5.975
_cell_length_c 3.683
_cell_angle_alpha 90.00
_cell_angle_beta 90.00
_cell_angle_gamma 90.00
_symmetry_space_group_name_H-M 'I 41'
_symmetry_Int_Tables_number 80
loop_
_symmetry_equiv_pos_as_xyz
'x,y,z'
'-y,x+1/2,z+1/4'
'-x+1/2,-y+1/2,z+1/2'
'y+1/2,-x,z+3/4'
'x+1/2,y+1/2,z+1/2'
'-y+1/2,x,z+3/4'
'-x,-y,z'
'y,-x+1/2,z+1/4'
loop_
_atom_site_label
_atom_site_type_symbol
_atom_site_fract_x
_atom_site_fract_y
_atom_site_fract_z
B1 B 0.080 0.808 0.000
C1 C 0.000 0.000 0.271
C2 C 0.107 0.307 0.746
```